For Bi3PbWClO8, a GGA+U-relaxed structure gives the computed powder XRD pattern in this record (a wavelength of 1.5418 Å).

Atomic structure:
```
data_Bi3PbWClO8
_space_group_name_H-M_alt 'P 4 m m'
_space_group_IT_number 99
_cell_length_a 3.8831
_cell_length_b 3.8831
_cell_length_c 15.1549
_cell_angle_alpha 90.00
_cell_angle_beta 90.00
_cell_angle_gamma 90.00
loop_
_space_group_symop_operation_xyz
'x,y,z'
'-y,x,z'
'-x,-y,z'
'y,-x,z'
'-x,y,z'
'y,x,z'
'x,-y,z'
'-y,-x,z'
loop_
_atom_site_label
_atom_site_type_symbol
_atom_site_fract_x
_atom_site_fract_y
_atom_site_fract_z
_atom_site_occupancy
Bi1 Bi 0.0000 0.0000 0.0000 1
Bi2 Bi 0.0000 0.0000 0.3892 1
Bi3 Bi 0.5000 0.5000 0.5577 1
Pb1 Pb 0.5000 0.5000 0.8324 1
W1 W 0.5000 0.5000 0.2035 1
Cl1 Cl 0.0000 0.0000 0.6654 1
O1 O 0.0000 0.5000 0.2082 1
O2 O 0.0000 0.5000 0.4783 1
O3 O 0.0000 0.5000 0.9199 1
O4 O 0.5000 0.5000 0.0797 1
O5 O 0.5000 0.5000 0.3345 1
```

Top 12 peaks for 2θ = 5–70°, by angle:
| h k l | 2θ/deg | Rel. int. |
| --- | --- | --- |
| 0 0 2 | 11.7 | 10 |
| 1 0 2 | 25.8 | 27 |
| 1 0 3 | 29.0 | 100 |
| 0 0 5 | 29.5 | 14 |
| 1 1 0 | 32.6 | 44 |
| 1 0 4 | 33.0 | 11 |
| 1 1 5 | 44.5 | 21 |
| 2 0 0 | 46.8 | 23 |
| 1 1 6 | 49.0 | 10 |
| 1 0 8 | 53.9 | 27 |
| 2 1 3 | 56.0 | 33 |
| 2 0 5 | 56.3 | 10 |


For Bi3PbWClO8, a GGA+U-relaxed structure gives the computed powder XRD pattern in this record (a wavelength of 1.5418 Å).

Atomic structure:
```
data_Bi3PbWClO8
_space_group_name_H-M_alt 'P 4 m m'
_space_group_IT_number 99
_cell_length_a 3.8943
_cell_length_b 3.8943
_cell_length_c 14.9597
_cell_angle_alpha 90.00
_cell_angle_beta 90.00
_cell_angle_gamma 90.00
loop_
_space_group_symop_operation_xyz
'x,y,z'
'-y,x,z'
'-x,-y,z'
'y,-x,z'
'-x,y,z'
'y,x,z'
'x,-y,z'
'-y,-x,z'
loop_
_atom_site_label
_atom_site_type_symbol
_atom_site_fract_x
_atom_site_fract_y
_atom_site_fract_z
_atom_site_occupancy
Bi1 Bi 0.0000 0.0000 0.0000 1
Bi2 Bi 0.0000 0.0000 0.2738 1
Bi3 Bi 0.5000 0.5000 0.8300 1
Pb1 Pb 0.5000 0.5000 0.4465 1
W1 W 0.0000 0.0000 0.6461 1
Cl1 Cl 0.5000 0.5000 0.1179 1
O1 O 0.0000 0.0000 0.5221 1
O2 O 0.0000 0.0000 0.7803 1
O3 O 0.0000 0.5000 0.3452 1
O4 O 0.0000 0.5000 0.6530 1
O5 O 0.0000 0.5000 0.9225 1
```

Top 12 peaks for 2θ = 5–70°, by angle:
| h k l | 2θ/deg | Rel. int. |
| --- | --- | --- |
| 0 0 2 | 11.8 | 8 |
| 1 0 2 | 25.8 | 25 |
| 1 0 3 | 29.1 | 100 |
| 0 0 5 | 29.9 | 12 |
| 1 1 0 | 32.5 | 44 |
| 1 0 4 | 33.2 | 10 |
| 1 1 5 | 44.7 | 20 |
| 2 0 0 | 46.6 | 23 |
| 1 1 6 | 49.3 | 11 |
| 1 0 8 | 54.4 | 25 |
| 2 1 3 | 55.9 | 33 |
| 2 0 5 | 56.4 | 9 |